Computed powder diffractogram
Compound: NdGaGePd2
Radiation: Cu Kα
Structure: a cell relaxed with GGA-PBE
Peak positions follow from Bragg's law for the DFT cell and can differ from measured ones.

Structural model:
```
NdGaGePd2
1.0
4.3186 0.0000 0.0000
0.0000 4.3186 0.0000
0.0000 0.0000 10.3495
Nd Ga Ge Pd
2 2 2 4
Direct
0.2500 0.2500 0.2477
0.7500 0.7500 0.7523
0.2500 0.7500 0.0000
0.7500 0.2500 0.0000
0.2500 0.2500 0.6304
0.7500 0.7500 0.3696
0.2500 0.2500 0.8674
0.2500 0.7500 0.5000
0.7500 0.2500 0.5000
0.7500 0.7500 0.1326
```

Principal peaks in the range 5 to 70 degrees two-theta, in order of rising 2θ:
d/Å  2θ (°)  I_rel
2.695  33.24  60
2.630  34.09  100
2.159  41.84  63
1.974  45.97  17
1.867  48.79  27
1.685  54.45  29
1.527  60.65  21
1.412  66.18  22



Computed powder diffractogram
Compound: Pr4GaNi2Ge4
Radiation: Cu Kα
Structure: a cell relaxed with GGA-PBE
Peak positions follow from Bragg's law for the DFT cell and can differ from measured ones.

Structural model:
```
Pr4GaNi2Ge4
1.0
7.9785 -2.1733 0.0000
7.9785 2.1733 0.0000
-2.2141 0.0000 6.8521
Pr Ga Ni Ge
4 1 2 4
Direct
0.0890 0.0890 0.3785
0.1527 0.1527 0.9429
0.8473 0.8473 0.0571
0.9110 0.9110 0.6215
0.5000 0.5000 0.0000
0.2862 0.2862 0.3539
0.7138 0.7138 0.6461
0.2876 0.2876 0.7078
0.4356 0.4356 0.3401
0.5644 0.5644 0.6599
0.7124 0.7124 0.2922
```

Principal peaks in the range 5 to 70 degrees two-theta, in order of rising 2θ:
d/Å  2θ (°)  I_rel
2.763  32.40  75
2.656  33.75  100
2.556  35.11  27
2.546  35.25  37
2.489  36.08  28
2.422  37.11  19
2.284  39.45  25
2.173  41.55  43



Computed powder diffractogram
Compound: TbTm2Ga3NiGe2
Radiation: Cu Kα
Structure: a cell relaxed with GGA-PBE
Peak positions follow from Bragg's law for the DFT cell and can differ from measured ones.

Structural model:
```
TbTm2Ga3NiGe2
1.0
4.1257 0.0000 0.0000
0.0000 6.0266 3.4644
0.0000 -6.0266 3.4644
Tb Tm Ga Ni Ge
1 2 3 1 2
Direct
0.0000 0.0000 0.0000
0.0000 0.1999 0.5995
0.0000 0.5995 0.1999
0.5000 0.3694 0.3694
0.5000 0.5971 0.8284
0.5000 0.8284 0.5971
0.0000 0.5954 0.5954
0.5000 0.2688 0.9310
0.5000 0.9310 0.2688
```

Principal peaks in the range 5 to 70 degrees two-theta, in order of rising 2θ:
d/Å  2θ (°)  I_rel
3.472  25.66  18
2.656  33.74  100
2.430  37.00  61
2.275  39.61  24
2.063  43.89  24
2.002  45.29  13
1.545  59.87  15
1.528  60.59  14



Computed powder diffractogram
Compound: NpGaGe
Radiation: Cu Kα
Structure: a cell relaxed with GGA-PBE
Peak positions follow from Bragg's law for the DFT cell and can differ from measured ones.

Structural model:
```
NpGaGe
1.0
6.4778 0.0000 0.0000
0.0000 6.4778 0.0000
0.0000 0.0000 6.4778
Np Ga Ge
4 4 4
Direct
0.0000 0.0000 0.0000
0.0000 0.5000 0.5000
0.5000 0.0000 0.5000
0.5000 0.5000 0.0000
0.2500 0.2500 0.7500
0.2500 0.7500 0.2500
0.7500 0.2500 0.2500
0.7500 0.7500 0.7500
0.0000 0.0000 0.5000
0.0000 0.5000 0.0000
0.5000 0.0000 0.0000
0.5000 0.5000 0.5000
```

Principal peaks in the range 5 to 70 degrees two-theta, in order of rising 2θ:
d/Å  2θ (°)  I_rel
3.740  23.79  49
3.239  27.54  48
2.290  39.34  100
1.953  46.50  26
1.870  48.69  14
1.619  56.85  17
1.486  62.50  11
1.448  64.31  19



Computed powder diffractogram
Compound: Ga2Ge2Os5
Radiation: Cu Kα
Structure: a cell relaxed with GGA-PBE
Peak positions follow from Bragg's law for the DFT cell and can differ from measured ones.

Structural model:
```
Ga2Ge2Os5
1.0
1.9852 1.1462 11.5204
-1.9852 1.1462 11.5204
0.0000 -2.2924 11.5204
Ga Ge Os
2 2 5
Direct
0.0000 0.0000 0.0000
0.1507 0.1507 0.1507
0.6252 0.6252 0.6252
0.7766 0.7766 0.7766
0.0732 0.0732 0.0732
0.5459 0.5459 0.5459
0.7029 0.7029 0.7029
0.8524 0.8524 0.8524
0.9262 0.9262 0.9262
```

Principal peaks in the range 5 to 70 degrees two-theta, in order of rising 2θ:
d/Å  2θ (°)  I_rel
5.760  15.38  36
3.422  26.04  84
3.079  29.00  20
2.103  43.00  100
2.005  45.22  49
1.985  45.70  100
1.444  64.55  30
1.411  66.24  16



Computed powder diffractogram
Compound: Pm2GaGe
Radiation: Cu Kα
Structure: a cell relaxed with GGA-PBE
Peak positions follow from Bragg's law for the DFT cell and can differ from measured ones.

Structural model:
```
Pm2GaGe
1.0
5.9994 0.0000 0.0000
0.0000 4.0896 0.0000
-2.6985 0.0000 8.2678
Pm Ga Ge
4 2 2
Direct
0.2074 0.2500 0.4288
0.2876 0.7500 0.0691
0.7124 0.2500 0.9309
0.7926 0.7500 0.5712
0.3643 0.7500 0.7121
0.6357 0.2500 0.2879
0.1378 0.2500 0.7890
0.8622 0.7500 0.2110
```

Principal peaks in the range 5 to 70 degrees two-theta, in order of rising 2θ:
d/Å  2θ (°)  I_rel
3.297  27.05  22
2.907  30.75  100
2.852  31.37  42
2.786  32.13  27
2.339  38.48  52
2.302  39.12  19
2.226  40.53  27
2.045  44.30  21



Computed powder diffractogram
Compound: Ga3Ge2Pt5
Radiation: Cu Kα
Structure: a cell relaxed with GGA-PBE
Peak positions follow from Bragg's law for the DFT cell and can differ from measured ones.

Structural model:
```
Ga3Ge2Pt5
1.0
2.0164 -6.8527 0.0000
2.0164 6.8527 0.0000
0.0000 0.0000 12.0857
Ga Ge Pt
6 4 10
Direct
0.0000 0.0000 0.0000
0.0000 0.0000 0.5000
0.3311 0.6689 0.5256
0.3311 0.6689 0.9744
0.6689 0.3311 0.0256
0.6689 0.3311 0.4744
0.0545 0.9455 0.2500
0.3012 0.6988 0.2500
0.6988 0.3012 0.7500
0.9455 0.0545 0.7500
0.1614 0.8386 0.6123
0.1614 0.8386 0.8877
0.3300 0.6700 0.7500
0.4887 0.5113 0.1303
0.4887 0.5113 0.3697
0.5113 0.4887 0.6303
0.5113 0.4887 0.8697
0.6700 0.3300 0.2500
0.8386 0.1614 0.1123
0.8386 0.1614 0.3877
```

Principal peaks in the range 5 to 70 degrees two-theta, in order of rising 2θ:
d/Å  2θ (°)  I_rel
3.685  24.15  23
3.473  25.65  24
2.790  32.08  9
2.283  39.47  33
2.228  40.49  25
2.137  42.29  100
2.016  44.96  26
1.511  61.35  26



Computed powder diffractogram
Compound: ScGaGePt
Radiation: Cu Kα
Structure: a cell relaxed with GGA-PBE
Peak positions follow from Bragg's law for the DFT cell and can differ from measured ones.

Structural model:
```
ScGaGePt
1.0
4.2488 0.0000 0.0000
0.0000 9.9271 0.0000
0.0000 0.0000 6.5497
Sc Ga Ge Pt
4 4 4 4
Direct
0.0000 0.0830 0.0000
0.0000 0.9170 0.5000
0.5000 0.4170 0.5000
0.5000 0.5830 0.0000
0.0000 0.3742 0.2040
0.0000 0.6258 0.7040
0.5000 0.1258 0.7040
0.5000 0.8742 0.2040
0.0000 0.3736 0.7928
0.0000 0.6264 0.2928
0.5000 0.1264 0.2928
0.5000 0.8736 0.7928
0.0000 0.2011 0.4986
0.0000 0.7989 0.9986
0.5000 0.2989 0.9986
0.5000 0.7011 0.4986
```

Principal peaks in the range 5 to 70 degrees two-theta, in order of rising 2θ:
d/Å  2θ (°)  I_rel
4.964  17.87  68
3.956  22.48  55
3.355  26.57  100
2.510  35.78  95
2.425  37.07  89
2.124  42.56  63
2.041  44.38  89
1.906  47.72  70



Computed powder diffractogram
Compound: Sc2GaGe3Pt2
Radiation: Cu Kα
Structure: a cell relaxed with GGA-PBE
Peak positions follow from Bragg's law for the DFT cell and can differ from measured ones.

Structural model:
```
Sc2GaGe3Pt2
1.0
10.3266 0.0000 0.0000
0.0000 4.1798 0.0000
-0.4498 0.0000 6.5423
Sc Ga Ge Pt
4 2 6 4
Direct
0.0000 0.0000 0.0000
0.1794 0.0000 0.4987
0.5000 0.5000 0.0000
0.6794 0.5000 0.4987
0.2167 0.5000 0.2057
0.7167 0.0000 0.2057
0.2195 0.5000 0.7789
0.4605 0.0000 0.2834
0.4599 0.0000 0.7157
0.7195 0.0000 0.7789
0.9605 0.5000 0.2834
0.9599 0.5000 0.7157
0.2728 0.0000 0.9927
0.4062 0.5000 0.4978
0.7728 0.5000 0.9927
0.9062 0.0000 0.4978
```

Principal peaks in the range 5 to 70 degrees two-theta, in order of rising 2θ:
d/Å  2θ (°)  I_rel
5.151  17.21  76
3.371  26.44  67
3.296  27.05  62
2.531  35.46  77
2.468  36.40  87
2.116  42.73  100
2.090  43.29  83
2.009  45.12  82



Computed powder diffractogram
Compound: ScGaGePt
Radiation: Cu Kα
Structure: a cell relaxed with GGA-PBE
Peak positions follow from Bragg's law for the DFT cell and can differ from measured ones.

Structural model:
```
ScGaGePt
1.0
9.9467 0.0000 0.0000
0.0000 4.2451 0.0000
-0.1594 0.0000 6.5785
Sc Ga Ge Pt
4 4 4 4
Direct
0.0827 0.0000 0.2484
0.4173 0.5000 0.7516
0.5827 0.5000 0.2484
0.9173 0.0000 0.7516
0.1282 0.5000 0.9562
0.3718 0.0000 0.0438
0.6282 0.0000 0.9562
0.8718 0.5000 0.0438
0.1252 0.5000 0.5440
0.3748 0.0000 0.4560
0.6252 0.0000 0.5440
0.8748 0.5000 0.4560
0.2001 0.0000 0.7415
0.2999 0.5000 0.2585
0.7001 0.5000 0.7415
0.7999 0.0000 0.2585
```

Principal peaks in the range 5 to 70 degrees two-theta, in order of rising 2θ:
d/Å  2θ (°)  I_rel
4.972  17.84  100
3.372  26.44  74
3.344  26.66  72
2.504  35.87  85
2.444  36.77  71
2.123  42.59  91
2.065  43.84  62
2.027  44.71  75



Computed powder diffractogram
Compound: SrGaGePt2
Radiation: Cu Kα
Structure: a cell relaxed with GGA-PBE
Peak positions follow from Bragg's law for the DFT cell and can differ from measured ones.

Structural model:
```
SrGaGePt2
1.0
4.4804 0.0000 0.0000
0.0000 4.4804 0.0000
0.0000 0.0000 10.0828
Sr Ga Ge Pt
2 2 2 4
Direct
0.2500 0.2500 0.2489
0.7500 0.7500 0.7511
0.2500 0.2500 0.8765
0.7500 0.7500 0.1235
0.2500 0.7500 0.5000
0.7500 0.2500 0.5000
0.2500 0.2500 0.6232
0.2500 0.7500 0.0000
0.7500 0.2500 0.0000
0.7500 0.7500 0.3768
```

Principal peaks in the range 5 to 70 degrees two-theta, in order of rising 2θ:
d/Å  2θ (°)  I_rel
5.041  17.59  20
3.354  26.58  21
3.022  29.56  27
2.685  33.37  100
2.240  40.26  57
1.973  46.01  40
1.721  53.22  21
1.364  68.82  20



Computed powder diffractogram
Compound: GaHIr3
Radiation: Cu Kα
Structure: a cell relaxed with GGA-PBE
Peak positions follow from Bragg's law for the DFT cell and can differ from measured ones.

Structural model:
```
GaHIr3
1.0
5.3727 0.0000 0.0000
0.0000 5.3727 0.0000
0.0000 0.0000 4.2276
Ga H Ir
2 2 6
Direct
0.0000 0.5000 0.0000
0.5000 0.0000 0.0000
0.0000 0.0000 0.4004
0.5000 0.5000 0.4004
0.0000 0.0000 0.9816
0.1906 0.3094 0.5013
0.3094 0.8094 0.5013
0.5000 0.5000 0.9816
0.6906 0.1906 0.5013
0.8094 0.6906 0.5013
```

Principal peaks in the range 5 to 70 degrees two-theta, in order of rising 2θ:
d/Å  2θ (°)  I_rel
2.826  31.66  17
2.403  37.43  23
2.267  39.76  100
2.114  42.78  29
2.089  43.31  31
1.900  47.89  22
1.587  58.12  13
1.413  66.14  17